The following is a theoretical powder X-ray diffraction pattern of UMnMo4O16. It was derived from a cell relaxed with GGA+U, using λ = 1.5418 Å (Cu Kα).

Largest 6 diffraction maxima, sorted by position, 10° ≤ 2θ ≤ 90°:
two_theta	I_rel
13.39	257
22.25	921
26.63	1000
26.91	250
28.00	261
34.91	261

Structure:
```
UMnMo4O16
1.0
7.9893 0.0000 0.0000
0.0000 6.6257 0.0000
-7.9386 0.0000 11.6363
U Mn Mo O
2 2 8 32
Cartesian
-1.9847 1.3529 2.9091 U
-5.9540 5.2728 8.7272 U
2.0100 1.2768 2.9091 Mn
-1.9593 5.3489 8.7272 Mn
-5.6530 2.1833 10.5956 Mo
-1.6837 4.4424 4.7774 Mo
-2.2588 2.1407 6.9659 Mo
1.7105 4.4850 1.1478 Mo
-1.6599 2.1407 10.4885 Mo
2.3095 4.4850 4.6704 Mo
1.7343 2.1833 6.8588 Mo
5.7037 4.4424 1.0407 Mo
-5.9540 2.9206 8.7272 O
-1.9847 3.7051 2.9091 O
-4.0261 2.2929 6.9367 O
-0.0567 4.3328 1.1185 O
-5.9186 0.4611 10.1538 O
-1.9493 6.1646 4.3357 O
-1.9535 2.2985 5.0472 O
-5.9228 4.3272 10.8653 O
-0.1218 1.3348 2.8950 O
-4.0911 5.2909 8.7131 O
2.0062 2.2812 0.7846 O
-1.9631 4.3445 6.6028 O
-2.0618 0.4413 7.3531 O
1.9075 6.1843 1.5349 O
-3.8977 2.2632 10.5142 O
0.0716 4.3625 4.6961 O
-1.9593 2.9158 8.7272 O
2.0100 3.7099 2.9091 O
-0.0209 2.2632 6.9402 O
3.9484 4.3625 1.1221 O
-1.8568 0.4413 10.1014 O
2.1125 6.1843 4.2832 O
2.0138 2.2812 5.0335 O
-1.9555 4.3445 10.8516 O
4.1418 1.3348 2.9231 O
0.1725 5.2909 8.7413 O
5.9735 2.2985 0.7710 O
2.0042 4.3272 6.5891 O
2.0000 0.4611 7.3006 O
5.9693 6.1646 1.4824 O
0.1074 2.2929 10.5177 O
4.0767 4.3328 4.6996 O
```

The following is a theoretical powder X-ray diffraction pattern of MnZn3Mo9O45. It was derived from a cell relaxed with GGA+U, using λ = 1.5418 Å (Cu Kα).

Largest 6 diffraction maxima, sorted by position, 10° ≤ 2θ ≤ 90°:
two_theta	I_rel
11.28	1000
15.68	609
18.75	650
22.51	923
24.74	719
37.32	602

Structure:
```
MnZn3Mo9O45
1.0
9.9078 0.0000 0.0000
-2.3829 9.6596 0.0000
-2.3742 -3.1078 9.2229
Mn Zn Mo O
1 3 9 45
Cartesian
0.0000 0.0000 0.0000 Mn
0.2281 7.5714 5.1901 Zn
2.3662 0.7403 8.8203 Zn
7.3680 4.1861 3.7307 Zn
0.0096 2.9141 1.3168 Mo
0.2902 0.0963 3.2112 Mo
-2.1930 4.5382 9.1371 Mo
2.8312 1.0180 1.1324 Mo
2.2907 5.9231 7.8139 Mo
4.9356 8.9717 1.8939 Mo
4.7457 3.5133 8.1869 Mo
5.2169 6.1702 6.0015 Mo
7.4371 -0.4636 7.2726 Mo
-3.8880 5.3970 7.9416 O
-1.4282 -1.8354 6.2329 O
-1.4004 6.4420 0.2218 O
-1.1210 3.4821 2.6071 O
-1.7463 5.8754 2.9372 O
-0.5363 1.1289 4.3082 O
-1.3387 -1.4933 9.0947 O
-1.2584 0.7939 7.1967 O
-1.0827 9.0785 1.2819 O
-1.5159 3.8355 7.7240 O
1.3465 1.7381 2.4284 O
1.1964 4.1446 1.1531 O
1.5508 -0.7420 4.1922 O
-0.0278 5.9285 4.0647 O
0.3040 2.1052 6.6374 O
1.2267 -1.4715 6.5422 O
-1.4210 6.3709 8.9872 O
1.1150 7.0716 1.2746 O
0.7480 1.9739 8.6177 O
1.8511 0.4563 6.9200 O
1.9605 5.9978 2.8801 O
3.6949 2.5312 0.6647 O
3.7126 0.3918 2.4760 O
1.7964 7.7421 3.9108 O
1.3550 4.4815 7.8513 O
1.4784 6.9841 6.6100 O
3.1387 3.1296 4.6831 O
4.0791 7.4753 1.9080 O
6.5400 0.1802 0.2301 O
4.7692 1.8681 4.1968 O
6.1729 2.7256 0.5115 O
3.5153 2.3553 8.8018 O
3.7889 4.8160 6.7832 O
4.0510 6.5860 4.8056 O
5.6813 3.2859 2.8855 O
6.5463 0.3327 3.0591 O
6.1768 8.2714 0.0926 O
6.2189 -0.0499 6.1382 O
5.4492 2.7388 6.8178 O
6.5110 -2.4669 7.6916 O
6.8991 2.4618 4.6873 O
6.4693 5.2047 5.1316 O
6.5248 0.0703 8.9589 O
6.5279 8.4021 2.9524 O
9.0203 0.8433 1.4791 O
```

The following is a theoretical powder X-ray diffraction pattern of MnP3NO9. It was derived from a cell relaxed with GGA+U, using λ = 1.5418 Å (Cu Kα).

Largest 6 diffraction maxima, sorted by position, 10° ≤ 2θ ≤ 90°:
two_theta	I_rel
15.37	851
17.96	201
23.72	1000
28.29	472
32.43	580
56.30	220

Structure:
```
MnP3NO9
1.0
6.6585 0.0000 0.0000
-3.3293 5.7665 0.0000
0.0000 0.0000 9.8765
Mn P N O
2 6 2 18
Cartesian
0.0000 0.0000 0.0000 Mn
0.0000 0.0000 4.9383 Mn
2.1917 0.6241 2.4691 P
1.6364 1.5860 7.4074 P
4.4668 0.6241 7.4074 P
2.7739 3.5563 2.4691 P
5.0222 1.5860 2.4691 P
3.8846 3.5563 7.4074 P
0.0000 3.8443 0.0000 N
0.0000 3.8443 4.9383 N
1.6986 0.0192 1.1850 O
1.6986 0.0192 3.7533 O
0.8659 1.4614 6.1232 O
0.8659 1.4614 8.6916 O
2.8664 0.5402 7.4074 O
1.9011 2.2123 2.4691 O
3.7921 0.5402 2.4691 O
2.3639 3.0140 7.4074 O
4.9600 0.0192 6.1232 O
4.9600 0.0192 8.6916 O
2.4966 4.2859 1.1850 O
2.4966 4.2859 3.7533 O
4.7575 2.2123 7.4074 O
4.2946 3.0140 2.4691 O
5.7926 1.4614 1.1850 O
5.7926 1.4614 3.7533 O
4.1619 4.2859 6.1232 O
4.1619 4.2859 8.6916 O
```

The following is a theoretical powder X-ray diffraction pattern of TaMnNO2. It was derived from a cell relaxed with GGA+U, using λ = 1.5418 Å (Cu Kα).

Largest 6 diffraction maxima, sorted by position, 10° ≤ 2θ ≤ 90°:
two_theta	I_rel
23.15	1000
31.68	697
31.87	316
34.22	580
47.32	381
51.57	340

Structure:
```
TaMnNO2
1.0
4.5308 -2.6344 0.0000
4.5308 2.6344 0.0000
-2.9950 0.0000 4.7909
Ta Mn N O
2 2 2 4
Cartesian
3.0333 1.3204 2.3955 Ta
4.5308 -1.3204 0.0000 Ta
-0.0162 1.2097 4.2036 Mn
1.4813 -1.2097 1.8081 Mn
1.6055 0.6517 0.8766 N
0.1080 -0.6517 3.2721 N
4.3663 0.4057 0.9245 O
2.8688 -0.4057 3.3199 O
7.6728 0.3442 0.9690 O
6.1753 -0.3442 3.3645 O
```

Please write out number 4 again, unchanged.
The following is a theoretical powder X-ray diffraction pattern of TaMnNO2. It was derived from a cell relaxed with GGA+U, using λ = 1.5418 Å (Cu Kα).

Largest 6 diffraction maxima, sorted by position, 10° ≤ 2θ ≤ 90°:
two_theta	I_rel
23.15	1000
31.68	697
31.87	316
34.22	580
47.32	381
51.57	340

Structure:
```
TaMnNO2
1.0
4.5308 -2.6344 0.0000
4.5308 2.6344 0.0000
-2.9950 0.0000 4.7909
Ta Mn N O
2 2 2 4
Cartesian
3.0333 1.3204 2.3955 Ta
4.5308 -1.3204 0.0000 Ta
-0.0162 1.2097 4.2036 Mn
1.4813 -1.2097 1.8081 Mn
1.6055 0.6517 0.8766 N
0.1080 -0.6517 3.2721 N
4.3663 0.4057 0.9245 O
2.8688 -0.4057 3.3199 O
7.6728 0.3442 0.9690 O
6.1753 -0.3442 3.3645 O
```